The following is a calculated PXRD pattern of CaAg4Sn4. It was derived from a structure optimized by DFT (GGA-PBE), using Cu Kα, 1.54184 Å.

Top 10 peaks for 15° ≤ 2θ ≤ 90°, by angle:
- 2θ = 19.2°, I = 20, hkl 1 0 1
- 2θ = 27.7°, I = 20, hkl 1 2 1
- 2θ = 31.5°, I = 50, hkl 1 3 0
- 2θ = 33.1°, I = 54, hkl 0 0 2
- 2θ = 34.2°, I = 45, hkl 3 0 1
- 2θ = 39.8°, I = 100, hkl 3 2 1
- 2θ = 46.4°, I = 34, hkl 1 3 2
- 2θ = 63.0°, I = 12, hkl 1 5 2
- 2θ = 63.7°, I = 25, hkl 3 2 3
- 2θ = 69.2°, I = 16, hkl 4 5 1

Cell and atoms:
```
data_CaAg4Sn4
_chemical_formula_sum 'Ca2 Ag8 Sn8'
_cell_length_a 8.9855
_cell_length_b 8.9855
_cell_length_c 5.4054
_cell_angle_alpha 90.00
_cell_angle_beta 90.00
_cell_angle_gamma 90.00
_symmetry_space_group_name_H-M 'I 4/m'
_symmetry_Int_Tables_number 87
_symmetry_space_group_name_Hall '-I 4'
loop_
_atom_site_label
_atom_site_fract_x
_atom_site_fract_y
_atom_site_fract_z
Ca1 0.0000 0.0000 0.0000
Ag1 0.0924 0.2027 0.5000
Sn1 0.0856 0.3552 0.0000
```

The following is a calculated PXRD pattern of Sr3Ca3Ag4. It was derived from a structure optimized by DFT (GGA-PBE), using Cu Kα, 1.54184 Å.

Top 10 peaks for 15° ≤ 2θ ≤ 90°, by angle:
- 2θ = 28.9°, I = 11, hkl 1 2 2
- 2θ = 30.9°, I = 100, hkl 1 3 1
- 2θ = 33.8°, I = 28, hkl 0 4 2
- 2θ = 38.7°, I = 9, hkl 0 5 1
- 2θ = 39.5°, I = 15, hkl 2 0 0
- 2θ = 43.1°, I = 8, hkl 0 4 4
- 2θ = 43.7°, I = 12, hkl 1 1 5
- 2θ = 52.9°, I = 15, hkl 2 4 2
- 2θ = 63.0°, I = 12, hkl 1 3 7
- 2θ = 66.3°, I = 12, hkl 3 3 1

Cell and atoms:
```
data_Sr3Ca3Ag4
_chemical_formula_sum 'Sr6 Ca6 Ag8'
_cell_length_a 4.5602
_cell_length_b 11.8797
_cell_length_c 11.8560
_cell_angle_alpha 90.00
_cell_angle_beta 90.00
_cell_angle_gamma 90.00
_symmetry_space_group_name_H-M 'A m m 2'
_symmetry_Int_Tables_number 38
loop_
_symmetry_equiv_pos_as_xyz
'x,y,z'
'-x,-y,z'
'-x,y,z'
'x,-y,z'
'x,y+1/2,z+1/2'
'-x,-y+1/2,z+1/2'
'-x,y+1/2,z+1/2'
'x,-y+1/2,z+1/2'
loop_
_atom_site_label
_atom_site_fract_x
_atom_site_fract_y
_atom_site_fract_z
Sr1 0.0000 0.0000 0.0000
Sr2 0.0000 0.1685 0.6647
Ca1 0.0000 0.0000 0.3343
Ca2 0.5000 0.2467 0.4145
Ag1 0.5000 0.0000 0.5327
Ag2 0.5000 0.0000 0.7898
Ag3 0.5000 0.1233 0.1712
```

The following is a calculated PXRD pattern of Sr3CaAg. It was derived from a structure optimized by DFT (GGA-PBE), using Cu Kα, 1.54184 Å.

Top 10 peaks for 15° ≤ 2θ ≤ 90°, by angle:
- 2θ = 26.8°, I = 100, hkl 1 1 -3
- 2θ = 28.2°, I = 82, hkl 2 0 3
- 2θ = 29.1°, I = 94, hkl 3 1 0
- 2θ = 29.7°, I = 32, hkl 2 0 -5
- 2θ = 29.9°, I = 40, hkl 3 1 -3
- 2θ = 30.7°, I = 26, hkl 1 1 3
- 2θ = 31.3°, I = 31, hkl 4 0 1
- 2θ = 40.5°, I = 37, hkl 0 2 0
- 2θ = 42.6°, I = 28, hkl 6 0 0
- 2θ = 52.9°, I = 27, hkl 3 1 -8

Cell and atoms:
```
data_Sr3CaAg
_chemical_formula_sum 'Sr12 Ca4 Ag4'
_cell_length_a 13.9278
_cell_length_b 4.4502
_cell_length_c 15.0406
_cell_angle_alpha 90.00
_cell_angle_beta 113.87
_cell_angle_gamma 90.00
_symmetry_space_group_name_H-M 'C 1 m 1'
_symmetry_Int_Tables_number 8
loop_
_symmetry_equiv_pos_as_xyz
'x,y,z'
'x,-y,z'
'x+1/2,y+1/2,z'
'x+1/2,-y+1/2,z'
loop_
_atom_site_label
_atom_site_fract_x
_atom_site_fract_y
_atom_site_fract_z
Sr1 0.0000 0.0000 0.0000
Sr2 0.0160 0.0000 0.3905
Sr3 0.1734 0.5000 0.2468
Sr4 0.2970 0.5000 0.5345
Sr5 0.3201 0.0000 0.7674
Sr6 0.3433 0.0000 0.1364
Ca1 0.0469 0.5000 0.6274
Ca2 0.1659 0.5000 0.8981
Ag1 0.0076 0.0000 0.7645
Ag2 0.3427 0.0000 0.3928
```

The following is a calculated PXRD pattern of Sr2Ca3Ag4. It was derived from a structure optimized by DFT (GGA-PBE), using Cu Kα, 1.54184 Å.

Top 10 peaks for 15° ≤ 2θ ≤ 90°, by angle:
- 2θ = 21.3°, I = 60, hkl 1 1 1
- 2θ = 28.2°, I = 36, hkl 1 2 1
- 2θ = 28.5°, I = 39, hkl 2 1 -2
- 2θ = 30.4°, I = 100, hkl 2 2 -1
- 2θ = 30.7°, I = 90, hkl 1 1 2
- 2θ = 31.0°, I = 28, hkl 2 2 0
- 2θ = 33.9°, I = 25, hkl 3 0 0
- 2θ = 34.1°, I = 64, hkl 0 3 1
- 2θ = 34.3°, I = 27, hkl 3 0 -2
- 2θ = 34.5°, I = 67, hkl 1 1 -3

Cell and atoms:
```
data_Sr2Ca3Ag4
_chemical_formula_sum 'Sr4 Ca6 Ag8'
_cell_length_a 8.3860
_cell_length_b 8.3854
_cell_length_c 8.2076
_cell_angle_alpha 90.00
_cell_angle_beta 108.92
_cell_angle_gamma 90.00
_symmetry_space_group_name_H-M 'P 1 21/c 1'
_symmetry_Int_Tables_number 14
loop_
_symmetry_equiv_pos_as_xyz
'x,y,z'
'-x,-y,-z'
'-x,y+1/2,-z+1/2'
'x,-y+1/2,z+1/2'
loop_
_atom_site_label
_atom_site_fract_x
_atom_site_fract_y
_atom_site_fract_z
Sr1 0.1933 0.1745 0.0697
Ca1 0.2470 0.6711 0.2487
Ca2 0.5000 0.0000 0.5000
Ag1 0.0805 0.5375 0.8684
Ag2 0.4977 0.1236 0.8750
```

The following is a calculated PXRD pattern of Sr3Ca2Ag. It was derived from a structure optimized by DFT (GGA-PBE), using Cu Kα, 1.54184 Å.

Top 10 peaks for 15° ≤ 2θ ≤ 90°, by angle:
- 2θ = 15.0°, I = 29, hkl 1 0 1
- 2θ = 26.4°, I = 44, hkl 1 2 1
- 2θ = 27.0°, I = 42, hkl 1 -2 0
- 2θ = 27.5°, I = 100, hkl 1 1 -2
- 2θ = 27.7°, I = 53, hkl 2 0 1
- 2θ = 27.9°, I = 74, hkl 0 1 3
- 2θ = 29.4°, I = 30, hkl 1 2 -1
- 2θ = 31.0°, I = 41, hkl 1 -1 3
- 2θ = 35.9°, I = 39, hkl 2 1 3
- 2θ = 38.8°, I = 31, hkl 1 -1 4

Cell and atoms:
```
data_Sr3Ca2Ag
_chemical_formula_sum 'Sr6 Ca4 Ag2'
_cell_length_a 6.4971
_cell_length_b 7.8579
_cell_length_c 10.3075
_cell_angle_alpha 84.32
_cell_angle_beta 79.30
_cell_angle_gamma 87.59
_symmetry_space_group_name_H-M 'P -1'
_symmetry_Int_Tables_number 2
loop_
_symmetry_equiv_pos_as_xyz
'x,y,z'
'-x,-y,-z'
loop_
_atom_site_label
_atom_site_fract_x
_atom_site_fract_y
_atom_site_fract_z
Sr1 0.1327 0.2168 0.4316
Sr2 0.3048 0.9526 0.8020
Sr3 0.3401 0.4884 0.6843
Ca1 0.2068 0.7742 0.2005
Ca2 0.2333 0.3404 0.0507
Ag1 0.3958 0.8413 0.4688
```

The following is a calculated PXRD pattern of SrCa8Ag6. It was derived from a structure optimized by DFT (GGA-PBE), using Cu Kα, 1.54184 Å.

Top 10 peaks for 15° ≤ 2θ ≤ 90°, by angle:
- 2θ = 19.4°, I = 27, hkl 1 1 0
- 2θ = 23.9°, I = 39, hkl 2 -1 3
- 2θ = 33.9°, I = 94, hkl 3 0 0
- 2θ = 34.2°, I = 100, hkl 2 -1 6
- 2θ = 36.7°, I = 19, hkl 3 0 3
- 2θ = 48.9°, I = 34, hkl 2 2 6
- 2θ = 60.6°, I = 16, hkl 3 3 0
- 2θ = 60.8°, I = 34, hkl 5 -1 6
- 2θ = 61.4°, I = 16, hkl 1 1 12
- 2θ = 81.5°, I = 14, hkl 5 2 6

Cell and atoms:
```
data_SrCa8Ag6
_chemical_formula_sum 'Sr3 Ca24 Ag18'
_cell_length_a 9.1691
_cell_length_b 9.1691
_cell_length_c 19.1794
_cell_angle_alpha 90.00
_cell_angle_beta 90.00
_cell_angle_gamma 120.00
_symmetry_space_group_name_H-M 'R -3'
_symmetry_Int_Tables_number 148
_symmetry_space_group_name_Hall '-R 3'
loop_
_atom_site_label
_atom_site_fract_x
_atom_site_fract_y
_atom_site_fract_z
Sr1 0.0000 0.0000 0.0000
Ca1 0.0000 0.0000 0.3350
Ca2 0.0037 0.3297 0.2209
Ag1 0.0003 0.3391 0.0548
```

The following is a calculated PXRD pattern of SrCaAg. It was derived from a structure optimized by DFT (GGA-PBE), using Cu Kα, 1.54184 Å.

Top 10 peaks for 15° ≤ 2θ ≤ 90°, by angle:
- 2θ = 30.2°, I = 97, hkl 2 0 2
- 2θ = 30.3°, I = 100, hkl 3 1 0
- 2θ = 32.8°, I = 94, hkl 1 1 -2
- 2θ = 35.3°, I = 22, hkl 3 1 -2
- 2θ = 40.2°, I = 39, hkl 5 1 0
- 2θ = 46.8°, I = 15, hkl 2 0 -4
- 2θ = 47.2°, I = 17, hkl 0 2 0
- 2θ = 56.8°, I = 14, hkl 5 1 -4
- 2θ = 56.9°, I = 14, hkl 1 1 4
- 2θ = 57.0°, I = 30, hkl 2 2 2

Cell and atoms:
```
data_SrCaAg
_chemical_formula_sum 'Sr4 Ca4 Ag4'
_cell_length_a 14.3183
_cell_length_b 3.8534
_cell_length_c 7.7578
_cell_angle_alpha 90.00
_cell_angle_beta 105.88
_cell_angle_gamma 90.00
_symmetry_space_group_name_H-M 'C 1 2/m 1'
_symmetry_Int_Tables_number 12
loop_
_symmetry_equiv_pos_as_xyz
'x,y,z'
'-x,-y,-z'
'-x,y,-z'
'x,-y,z'
'x+1/2,y+1/2,z'
'-x+1/2,-y+1/2,-z'
'-x+1/2,y+1/2,-z'
'x+1/2,-y+1/2,z'
loop_
_atom_site_label
_atom_site_fract_x
_atom_site_fract_y
_atom_site_fract_z
Sr1 0.1357 0.0000 0.0712
Ca1 0.1359 0.0000 0.5652
Ag1 0.0020 0.5000 0.7284
```

The following is a calculated PXRD pattern of Sr2Ca2Ag. It was derived from a structure optimized by DFT (GGA-PBE), using Cu Kα, 1.54184 Å.

Top 10 peaks for 15° ≤ 2θ ≤ 90°, by angle:
- 2θ = 16.5°, I = 12, hkl 1 0 1
- 2θ = 18.8°, I = 54, hkl 1 0 3
- 2θ = 27.9°, I = 11, hkl 1 0 7
- 2θ = 30.1°, I = 100, hkl 1 1 6
- 2θ = 32.7°, I = 51, hkl 2 0 0
- 2θ = 38.0°, I = 19, hkl 2 1 3
- 2θ = 40.1°, I = 20, hkl 1 1 10
- 2θ = 46.9°, I = 18, hkl 2 2 0
- 2θ = 56.7°, I = 31, hkl 3 1 6
- 2θ = 63.7°, I = 11, hkl 2 0 16

Cell and atoms:
```
data_Sr2Ca2Ag
_chemical_formula_sum 'Sr8 Ca8 Ag4'
_cell_length_a 5.4812
_cell_length_b 5.4812
_cell_length_c 27.6351
_cell_angle_alpha 90.00
_cell_angle_beta 90.00
_cell_angle_gamma 90.00
_symmetry_space_group_name_H-M 'I 41/a m d'
_symmetry_Int_Tables_number 141
loop_
_symmetry_equiv_pos_as_xyz
'x,y,z'
'-x,-y,-z'
'-y+1/4,x+3/4,z+1/4'
'y+1/4,-x+3/4,-z+1/4'
'-x+1/2,-y,z+1/2'
'x+1/2,y,-z+1/2'
'y+1/4,-x+1/4,z+3/4'
'-y+1/4,x+1/4,-z+3/4'
'x,-y,-z'
'-x,y,z'
'-y+1/4,-x+1/4,-z+3/4'
'y+1/4,x+1/4,z+3/4'
'-x+1/2,y,-z+1/2'
'x+1/2,-y,z+1/2'
'y+1/4,x+3/4,-z+1/4'
'-y+1/4,-x+3/4,z+1/4'
'x+1/2,y+1/2,z+1/2'
'-x+1/2,-y+1/2,-z+1/2'
'-y+3/4,x+1/4,z+3/4'
'y+3/4,-x+1/4,-z+3/4'
'-x,-y+1/2,z'
'x,y+1/2,-z'
'y+3/4,-x+3/4,z+1/4'
'-y+3/4,x+3/4,-z+1/4'
'x+1/2,-y+1/2,-z+1/2'
'-x+1/2,y+1/2,z+1/2'
'-y+3/4,-x+3/4,-z+1/4'
'y+3/4,x+3/4,z+1/4'
'-x,y+1/2,-z'
'x,-y+1/2,z'
'y+3/4,x+1/4,-z+3/4'
'-y+3/4,-x+1/4,z+3/4'
loop_
_atom_site_label
_atom_site_fract_x
_atom_site_fract_y
_atom_site_fract_z
Sr1 0.0000 0.2500 0.0579
Ca1 0.0000 0.2500 0.1957
Ag1 0.0000 0.2500 0.3750
```

The following is a calculated PXRD pattern of SrCa2TbAg4. It was derived from a structure optimized by DFT (GGA-PBE), using Cu Kα, 1.54184 Å.

Top 10 peaks for 15° ≤ 2θ ≤ 90°, by angle:
- 2θ = 20.6°, I = 15, hkl 0 1 2
- 2θ = 33.7°, I = 96, hkl 0 1 8
- 2θ = 34.0°, I = 100, hkl 1 1 0
- 2θ = 48.6°, I = 33, hkl 2 0 8
- 2θ = 60.1°, I = 14, hkl 1 0 16
- 2θ = 60.6°, I = 33, hkl 1 2 8
- 2θ = 60.8°, I = 17, hkl 3 0 0
- 2θ = 71.5°, I = 12, hkl 2 2 0
- 2θ = 81.0°, I = 12, hkl 2 1 16
- 2θ = 81.4°, I = 14, hkl 3 1 8

Cell and atoms:
```
data_SrCa2TbAg4
_chemical_formula_sum 'Sr3 Ca6 Tb3 Ag12'
_cell_length_a 5.2763
_cell_length_b 5.2763
_cell_length_c 26.1694
_cell_angle_alpha 90.00
_cell_angle_beta 90.00
_cell_angle_gamma 120.00
_symmetry_space_group_name_H-M 'R -3 m'
_symmetry_Int_Tables_number 166
_symmetry_space_group_name_Hall '-R 3 2"'
loop_
_atom_site_label
_atom_site_fract_x
_atom_site_fract_y
_atom_site_fract_z
Sr1 0.0000 0.0000 0.0000
Ca1 0.0000 0.0000 0.2486
Tb1 0.0000 0.0000 0.5000
Ag1 0.0000 0.0000 0.1306
Ag2 0.0000 0.0000 0.3821
```

The following is a calculated PXRD pattern of CaTa3Ag. It was derived from a structure optimized by DFT (GGA-PBE), using Cu Kα, 1.54184 Å.

Top 10 peaks for 15° ≤ 2θ ≤ 90°, by angle:
- 2θ = 17.7°, I = 73, hkl 1 0 0
- 2θ = 30.8°, I = 89, hkl 1 1 1
- 2θ = 35.8°, I = 100, hkl 2 0 0
- 2θ = 40.1°, I = 38, hkl 2 1 0
- 2θ = 51.5°, I = 71, hkl 2 2 0
- 2θ = 54.8°, I = 19, hkl 3 0 0
- 2θ = 61.2°, I = 39, hkl 3 1 1
- 2θ = 64.2°, I = 24, hkl 2 2 2
- 2θ = 84.0°, I = 16, hkl 3 3 1
- 2θ = 86.7°, I = 32, hkl 4 2 0

Cell and atoms:
```
data_CaTa3Ag
_chemical_formula_sum 'Ca1 Ta3 Ag1'
_cell_length_a 5.0227
_cell_length_b 5.0227
_cell_length_c 5.0227
_cell_angle_alpha 90.00
_cell_angle_beta 90.00
_cell_angle_gamma 90.00
_symmetry_space_group_name_H-M 'P m -3 m'
_symmetry_Int_Tables_number 221
_symmetry_space_group_name_Hall '-P 4 2 3'
loop_
_atom_site_label
_atom_site_fract_x
_atom_site_fract_y
_atom_site_fract_z
Ca1 0.0000 0.0000 0.0000
Ta1 0.0000 0.5000 0.5000
Ag1 0.5000 0.5000 0.5000
```

The following is a calculated PXRD pattern of CaTbAg4. It was derived from a structure optimized by DFT (GGA-PBE), using Cu Kα, 1.54184 Å.

Top 10 peaks for 15° ≤ 2θ ≤ 90°, by angle:
- 2θ = 33.7°, I = 100, hkl 1 1 -2
- 2θ = 37.2°, I = 38, hkl 2 0 2
- 2θ = 37.4°, I = 75, hkl 3 1 0
- 2θ = 37.5°, I = 37, hkl 4 0 -2
- 2θ = 48.4°, I = 35, hkl 0 2 0
- 2θ = 62.5°, I = 16, hkl 1 1 4
- 2θ = 62.6°, I = 16, hkl 2 2 2
- 2θ = 62.9°, I = 15, hkl 4 2 -2
- 2θ = 63.0°, I = 15, hkl 5 1 -4
- 2θ = 80.9°, I = 15, hkl 1 3 -2

Cell and atoms:
```
data_CaTbAg4
_chemical_formula_sum 'Ca2 Tb2 Ag8'
_cell_length_a 10.0903
_cell_length_b 3.7579
_cell_length_c 7.5173
_cell_angle_alpha 90.00
_cell_angle_beta 111.37
_cell_angle_gamma 90.00
_symmetry_space_group_name_H-M 'C 1 2/m 1'
_symmetry_Int_Tables_number 12
loop_
_symmetry_equiv_pos_as_xyz
'x,y,z'
'-x,-y,-z'
'-x,y,-z'
'x,-y,z'
'x+1/2,y+1/2,z'
'-x+1/2,-y+1/2,-z'
'-x+1/2,y+1/2,-z'
'x+1/2,-y+1/2,z'
loop_
_atom_site_label
_atom_site_fract_x
_atom_site_fract_y
_atom_site_fract_z
Ca1 0.0000 0.0000 0.0000
Tb1 0.0000 0.0000 0.5000
Ag1 0.1715 0.5000 0.3397
Ag2 0.1720 0.5000 0.8304
```

The following is a calculated PXRD pattern of CaTbAg4. It was derived from a structure optimized by DFT (GGA-PBE), using Cu Kα, 1.54184 Å.

Top 10 peaks for 15° ≤ 2θ ≤ 90°, by angle:
- 2θ = 19.2°, I = 8, hkl 0 1 1
- 2θ = 33.8°, I = 67, hkl 2 0 0
- 2θ = 37.4°, I = 100, hkl 1 3 1
- 2θ = 48.5°, I = 23, hkl 2 0 2
- 2θ = 62.8°, I = 41, hkl 3 3 1
- 2θ = 69.8°, I = 15, hkl 2 6 0
- 2θ = 71.0°, I = 7, hkl 4 0 0
- 2θ = 79.8°, I = 10, hkl 2 6 2
- 2θ = 81.0°, I = 10, hkl 4 0 2
- 2θ = 83.2°, I = 9, hkl 3 3 3

Cell and atoms:
```
data_CaTbAg4
_chemical_formula_sum 'Ca2 Tb2 Ag8'
_cell_length_a 5.3065
_cell_length_b 9.3820
_cell_length_c 5.3079
_cell_angle_alpha 90.00
_cell_angle_beta 90.00
_cell_angle_gamma 90.00
_symmetry_space_group_name_H-M 'A m m 2'
_symmetry_Int_Tables_number 38
loop_
_symmetry_equiv_pos_as_xyz
'x,y,z'
'-x,-y,z'
'-x,y,z'
'x,-y,z'
'x,y+1/2,z+1/2'
'-x,-y+1/2,z+1/2'
'-x,y+1/2,z+1/2'
'x,-y+1/2,z+1/2'
loop_
_atom_site_label
_atom_site_fract_x
_atom_site_fract_y
_atom_site_fract_z
Ca1 0.0000 0.0000 0.0000
Tb1 0.5000 0.0000 0.4993
Ag1 0.0000 0.1709 0.5002
Ag2 0.5000 0.1723 0.9991
```